La7Tc6: computed powder XRD pattern (CuKα), based on a structure optimized by DFT (PBE).

Atomic structure:
Unit cell a=9.1470 b=9.1470 c=9.1470 alpha=44.91 beta=44.91 gamma=44.91
Fractional positions:
La 0.0000 0.0000 0.0000
La 0.0891 0.0891 0.5501
La 0.0891 0.5501 0.0891
La 0.4499 0.9109 0.9109
La 0.5501 0.0891 0.0891
La 0.9109 0.4499 0.9109
La 0.9109 0.9109 0.4499
Tc 0.1433 0.1433 0.1433
Tc 0.3572 0.3572 0.3572
Tc 0.4466 0.4466 0.4466
Tc 0.5534 0.5534 0.5534
Tc 0.6428 0.6428 0.6428
Tc 0.8567 0.8567 0.8567

Peak list (12 most intense, 2θ = 10–90°, in order of rising 2θ)
d (Å), 2θ (°), I (rel.)
4.105, 21.65, 30
3.494, 25.49, 61
3.003, 29.75, 100
2.938, 30.42, 71
2.741, 32.67, 49
2.661, 33.69, 75
2.578, 34.80, 63
2.294, 39.27, 91
2.280, 39.53, 33
1.810, 50.42, 36
1.747, 52.37, 78
1.521, 60.92, 35


AlCuS5: computed powder XRD pattern (CuKα), based on a structure optimized by DFT (PBE).

Atomic structure:
Unit cell a=6.4059 b=6.4059 c=10.0737 alpha=90.73 beta=90.73 gamma=118.37
Fractional positions:
Al 0.0523 0.9477 0.7500
Al 0.9477 0.0523 0.2500
Cu 0.0000 0.5000 0.5000
Cu 0.5000 0.0000 0.0000
S 0.0465 0.9082 0.4287
S 0.0663 0.4513 0.2836
S 0.0918 0.9535 0.0713
S 0.4291 0.5709 0.2500
S 0.4513 0.0663 0.7836
S 0.5487 0.9337 0.2164
S 0.5709 0.4291 0.7500
S 0.9082 0.0465 0.9287
S 0.9337 0.5487 0.7164
S 0.9535 0.0918 0.5713

Peak list (12 most intense, 2θ = 10–90°, in order of rising 2θ)
d (Å), 2θ (°), I (rel.)
5.635, 15.73, 40
4.963, 17.87, 35
4.873, 18.20, 100
4.828, 18.38, 38
3.715, 23.95, 16
3.062, 29.17, 28
2.864, 31.23, 42
2.818, 31.76, 86
2.518, 35.66, 19
1.898, 47.94, 14
1.798, 50.78, 14
1.772, 51.57, 14


SrLa4Se5: computed powder XRD pattern (CuKα), based on a structure optimized by DFT (PBE).

Atomic structure:
Unit cell a=15.6697 b=15.6697 c=15.6697 alpha=164.12 beta=164.12 gamma=22.53
Fractional positions:
Sr 0.0000 0.0000 0.0000
La 0.2006 0.2006 0.0000
La 0.3980 0.3980 0.0000
La 0.6020 0.6020 0.0000
La 0.7994 0.7994 0.0000
Se 0.1002 0.1002 0.0000
Se 0.2996 0.2996 0.0000
Se 0.5000 0.5000 0.0000
Se 0.7004 0.7004 0.0000
Se 0.8998 0.8998 0.0000

Peak list (12 most intense, 2θ = 10–90°, in order of rising 2θ)
d (Å), 2θ (°), I (rel.)
3.539, 25.16, 13
3.074, 29.05, 46
3.061, 29.17, 89
2.167, 41.67, 100
1.770, 51.65, 36
1.537, 60.22, 5
1.531, 60.49, 11
1.373, 68.29, 15
1.370, 68.48, 15
1.369, 68.55, 15
1.253, 75.94, 11
1.251, 76.12, 22


YMg2F8: computed powder XRD pattern (CuKα), based on a structure optimized by DFT (PBE).

Atomic structure:
Unit cell a=6.4708 b=6.4708 c=6.4708 alpha=133.87 beta=133.87 gamma=67.30
Fractional positions:
Y 0.0000 0.0000 0.0000
Mg 0.2500 0.7500 0.5000
Mg 0.7500 0.2500 0.5000
F 0.1087 0.1087 0.4890
F 0.1087 0.6197 0.0000
F 0.3803 0.3803 0.4890
F 0.3803 0.8913 0.0000
F 0.6197 0.1087 0.0000
F 0.6197 0.6197 0.5110
F 0.8913 0.3803 0.0000
F 0.8913 0.8913 0.5110

Peak list (12 most intense, 2θ = 10–90°, in order of rising 2θ)
d (Å), 2θ (°), I (rel.)
4.588, 19.35, 100
2.985, 29.94, 75
2.931, 30.50, 26
2.219, 40.66, 24
1.983, 45.75, 9
1.917, 47.42, 18
1.846, 49.37, 70
1.793, 50.93, 35
1.605, 57.40, 12
1.562, 59.15, 9
1.537, 60.22, 19
1.268, 74.90, 10


Ac3PrPt: computed powder XRD pattern (CuKα), based on a structure optimized by DFT (PBE).

Atomic structure:
Unit cell a=5.9720 b=5.9720 c=5.9720 alpha=90.00 beta=90.00 gamma=90.00
Fractional positions:
Ac 0.0000 0.0000 0.5000
Ac 0.0000 0.5000 0.0000
Ac 0.5000 0.0000 0.0000
Pr 0.5000 0.5000 0.5000
Pt 0.0000 0.0000 0.0000

Peak list (12 most intense, 2θ = 10–90°, in order of rising 2θ)
d (Å), 2θ (°), I (rel.)
5.972, 14.83, 38
3.448, 25.84, 73
2.986, 29.92, 100
2.671, 33.55, 22
2.111, 42.83, 77
1.991, 45.57, 12
1.801, 50.70, 36
1.724, 53.13, 28
1.493, 62.18, 13
1.370, 68.48, 15
1.335, 70.52, 36
1.219, 78.46, 27


Pm6PrEr4: computed powder XRD pattern (CuKα), based on a structure optimized by DFT (PBE).

Atomic structure:
Unit cell a=5.6599 b=5.6599 c=25.8786 alpha=90.00 beta=90.00 gamma=117.77
Fractional positions:
Pm 0.0000 0.0000 0.0000
Pm 0.0000 0.0000 0.5000
Pm 0.0487 0.9513 0.7500
Pm 0.3003 0.6997 0.0988
Pm 0.3003 0.6997 0.4012
Pm 0.3764 0.6236 0.6805
Pm 0.3764 0.6236 0.8195
Pm 0.6236 0.3764 0.1805
Pm 0.6236 0.3764 0.3195
Pm 0.6997 0.3003 0.5988
Pm 0.6997 0.3003 0.9012
Pm 0.9513 0.0487 0.2500
Pr 0.2900 0.7100 0.2500
Pr 0.7100 0.2900 0.7500
Er 0.0425 0.9575 0.6233
Er 0.0425 0.9575 0.8767
Er 0.3492 0.6508 0.5435
Er 0.3492 0.6508 0.9565
Er 0.6508 0.3492 0.0435
Er 0.6508 0.3492 0.4565
Er 0.9575 0.0425 0.1233
Er 0.9575 0.0425 0.3767

Peak list (12 most intense, 2θ = 10–90°, in order of rising 2θ)
d (Å), 2θ (°), I (rel.)
2.974, 30.04, 73
2.939, 30.41, 68
2.925, 30.57, 89
2.828, 31.64, 100
2.811, 31.83, 56
2.717, 32.96, 75
2.073, 43.66, 50
1.939, 46.85, 15
1.669, 55.01, 21
1.646, 55.84, 34
1.616, 56.98, 20
1.412, 66.19, 15